Record 1
The following is a simulated powder XRD pattern of PrIn4Au2. It was derived from the PBE geometry in Alexandria, using Cu Kα, 1.54184 Å.
Intensities are scaled so that the largest is 100.

Cell and atoms:
Cell: 18.7786 4.6970 7.5667 Å, 90.00 90.00 90.00°
Element x y z (fractional)
Pr 0.1426 0.2500 0.0259
Pr 0.3574 0.7500 0.5259
Pr 0.6426 0.2500 0.4741
Pr 0.8574 0.7500 0.9741
In 0.0346 0.7500 0.8613
In 0.0668 0.2500 0.4837
In 0.1848 0.7500 0.3250
In 0.1878 0.7500 0.7346
In 0.3122 0.2500 0.2346
In 0.3152 0.2500 0.8250
In 0.4332 0.7500 0.9837
In 0.4654 0.2500 0.3613
In 0.5346 0.7500 0.6387
In 0.5668 0.2500 0.0163
In 0.6848 0.7500 0.1750
In 0.6878 0.7500 0.7654
In 0.8122 0.2500 0.2654
In 0.8152 0.2500 0.6750
In 0.9332 0.7500 0.5163
In 0.9654 0.2500 0.1387
Au 0.0379 0.7500 0.2452
Au 0.2179 0.2500 0.5331
Au 0.2821 0.7500 0.0331
Au 0.4621 0.2500 0.7452
Au 0.5379 0.7500 0.2548
Au 0.7179 0.2500 0.9669
Au 0.7821 0.7500 0.4669
Au 0.9621 0.2500 0.7548

Principal peaks in the range 2θ from 5° to 70°, in order of rising 2θ:
2θ = 31.8°, rel. 100.0; 2θ = 32.7°, rel. 67.3; 2θ = 35.5°, rel. 30.4; 2θ = 38.3°, rel. 64.1; 2θ = 41.8°, rel. 30.2; 2θ = 42.1°, rel. 38.6


Record 2
The following is a simulated powder XRD pattern of Pr3AgPb2. It was derived from the PBE geometry in Alexandria, using Cu Kα, 1.54184 Å.
Intensities are scaled so that the largest is 100.

Cell and atoms:
Cell: 9.1418 9.1418 6.5024 Å, 102.76 102.76 42.54°
Element x y z (fractional)
Pr 0.1567 0.8433 0.7500
Pr 0.2229 0.4399 0.3991
Pr 0.4399 0.2229 0.8991
Pr 0.5601 0.7771 0.1009
Pr 0.7771 0.5601 0.6009
Pr 0.8433 0.1567 0.2500
Ag 0.3659 0.6341 0.2500
Ag 0.6341 0.3659 0.7500
Pb 0.0502 0.2647 0.0485
Pb 0.2647 0.0502 0.5485
Pb 0.7353 0.9498 0.4515
Pb 0.9498 0.7353 0.9515

Principal peaks in the range 2θ from 5° to 70°, in order of rising 2θ:
2θ = 30.4°, rel. 71.3; 2θ = 31.3°, rel. 100.0; 2θ = 32.5°, rel. 88.5; 2θ = 32.7°, rel. 78.9; 2θ = 33.5°, rel. 80.9; 2θ = 35.5°, rel. 51.8


Record 3
The following is a simulated powder XRD pattern of Tb5Ho12Mg. It was derived from the PBE geometry in Alexandria, using Cu Kα, 1.54184 Å.
Intensities are scaled so that the largest is 100.

Cell and atoms:
Cell: 10.4354 10.4354 5.0504 Å, 90.00 90.00 92.90°
Element x y z (fractional)
Tb 0.0000 0.0000 0.0000
Tb 0.1655 0.8345 0.5000
Tb 0.3310 0.6690 0.0000
Tb 0.6690 0.3310 0.0000
Tb 0.8345 0.1655 0.5000
Ho 0.0013 0.3360 0.0000
Ho 0.1676 0.1676 0.5000
Ho 0.1693 0.5002 0.5000
Ho 0.3337 0.3337 0.0000
Ho 0.3360 0.0013 0.0000
Ho 0.5002 0.1693 0.5000
Ho 0.4998 0.8307 0.5000
Ho 0.6640 0.9987 0.0000
Ho 0.6663 0.6663 0.0000
Ho 0.8307 0.4998 0.5000
Ho 0.8324 0.8324 0.5000
Ho 0.9987 0.6640 0.0000
Mg 0.5000 0.5000 0.5000

Principal peaks in the range 2θ from 5° to 70°, in order of rising 2θ:
2θ = 31.3°, rel. 100.0; 2θ = 35.6°, rel. 35.4; 2θ = 37.5°, rel. 15.4; 2θ = 52.7°, rel. 23.2; 2θ = 61.2°, rel. 14.9; 2θ = 61.3°, rel. 14.7


Record 4
The following is a simulated powder XRD pattern of Al3Pb5F19. It was derived from the PBE geometry in Alexandria, using Cu Kα, 1.54184 Å.
Intensities are scaled so that the largest is 100.

Cell and atoms:
Cell: 10.8406 10.8406 10.8406 Å, 97.20 97.20 138.52°
Element x y z (fractional)
Al 0.0000 0.0000 0.0000
Al 0.1207 0.6207 0.1812
Al 0.4395 0.9395 0.8188
Al 0.5000 0.5000 0.0000
Al 0.6207 0.4395 0.5000
Al 0.9395 0.1207 0.5000
Pb 0.0559 0.9086 0.2990
Pb 0.1096 0.4086 0.8527
Pb 0.2569 0.1096 0.7010
Pb 0.4086 0.5559 0.2990
Pb 0.4331 0.9331 0.5000
Pb 0.5559 0.2569 0.1473
Pb 0.6096 0.7569 0.7010
Pb 0.7569 0.0559 0.1473
Pb 0.9086 0.6096 0.8527
Pb 0.9331 0.4331 0.5000
F 0.0003 0.2430 0.3743
F 0.0187 0.3821 0.1368
F 0.0409 0.1048 0.1660
F 0.1048 0.9388 0.0639
F 0.1059 0.1209 0.5000
F 0.1079 0.6079 0.3469
F 0.1209 0.6209 0.0150
F 0.1260 0.3687 0.6257
F 0.1962 0.9319 0.5000
F 0.2431 0.2431 0.0000
F 0.2430 0.8687 0.2426
F 0.2453 0.8819 0.8632
F 0.2610 0.7610 0.6531
F 0.3687 0.7430 0.2426
F 0.3749 0.4388 0.8340
F 0.3821 0.2453 0.3634
F 0.3819 0.7453 0.8632
F 0.4319 0.6962 0.5000
F 0.4388 0.6048 0.0639
F 0.5003 0.1260 0.7574
F 0.5187 0.3819 0.6366
F 0.5409 0.3749 0.9361
F 0.6048 0.5409 0.1660
F 0.6059 0.1059 0.9850
F 0.6079 0.2610 0.5000
F 0.6209 0.6059 0.5000
F 0.6260 0.0003 0.7574
F 0.6962 0.1962 0.2644
F 0.7430 0.5003 0.3743
F 0.7431 0.7431 0.0000
F 0.7453 0.8821 0.3634
F 0.7610 0.1079 0.5000
F 0.8687 0.6260 0.6257
F 0.8749 0.0409 0.9361
F 0.8819 0.0187 0.6366
F 0.8821 0.5187 0.1368
F 0.9319 0.4319 0.7356
F 0.9388 0.8749 0.8340

Principal peaks in the range 2θ from 5° to 70°, in order of rising 2θ:
2θ = 23.2°, rel. 71.2; 2θ = 25.2°, rel. 86.4; 2θ = 27.8°, rel. 62.0; 2θ = 28.2°, rel. 100.0; 2θ = 42.0°, rel. 50.6; 2θ = 43.9°, rel. 75.2


Record 5
The following is a simulated powder XRD pattern of Tm6Ga2PbSe3. It was derived from the PBE geometry in Alexandria, using Cu Kα, 1.54184 Å.
Intensities are scaled so that the largest is 100.

Cell and atoms:
Cell: 9.4481 9.4481 8.6218 Å, 109.08 109.08 24.07°
Element x y z (fractional)
Tm 0.0018 0.0018 0.2694
Tm 0.3262 0.3262 0.9102
Tm 0.3337 0.3337 0.4121
Tm 0.6663 0.6663 0.5879
Tm 0.6738 0.6738 0.0898
Tm 0.9982 0.9982 0.7306
Ga 0.1691 0.1691 0.3395
Ga 0.8309 0.8309 0.6605
Pb 0.5000 0.5000 0.0000
Se 0.1640 0.1640 0.8342
Se 0.5000 0.5000 0.5000
Se 0.8360 0.8360 0.1658

Principal peaks in the range 2θ from 5° to 70°, in order of rising 2θ:
2θ = 30.8°, rel. 100.0; 2θ = 42.2°, rel. 13.7; 2θ = 42.4°, rel. 27.9; 2θ = 45.8°, rel. 21.9; 2θ = 56.4°, rel. 12.0; 2θ = 64.2°, rel. 11.8


Record 6
The following is a simulated powder XRD pattern of Cs3HgTe2. It was derived from the PBE geometry in Alexandria, using Cu Kα, 1.54184 Å.
Intensities are scaled so that the largest is 100.

Cell and atoms:
Cell: 10.5317 10.5317 10.5317 Å, 130.46 77.78 124.24°
Element x y z (fractional)
Cs 0.0233 0.7500 0.2733
Cs 0.2500 0.2500 0.0000
Cs 0.4767 0.7500 0.7267
Cs 0.5233 0.2500 0.2733
Cs 0.7500 0.7500 0.0000
Cs 0.9767 0.2500 0.7267
Hg 0.0000 0.5000 0.5000
Hg 0.5000 0.0000 0.5000
Te 0.1275 0.2341 0.3616
Te 0.3725 0.7341 0.1066
Te 0.6275 0.2659 0.8934
Te 0.8725 0.7659 0.6384

Principal peaks in the range 2θ from 5° to 70°, in order of rising 2θ:
2θ = 17.3°, rel. 73.9; 2θ = 21.4°, rel. 54.3; 2θ = 26.4°, rel. 91.7; 2θ = 27.1°, rel. 38.5; 2θ = 29.8°, rel. 100.0; 2θ = 47.8°, rel. 53.7